Theoretical X-ray diffraction stick pattern
Compound: Nd2MnAgO5
Radiation: Cu Kα, 1.54184 Å
Structure: the PBE+U geometry in Alexandria

```
Nd2MnAgO5
1.0
6.7803 0.0000 0.0000
0.0000 6.7803 0.0000
0.0000 0.0000 5.7406
Nd Mn Ag O
4 2 2 10
direct
0.1777 0.3223 0.0000
0.3223 0.8223 0.0000
0.6777 0.1777 0.0000
0.8223 0.6777 0.0000
0.0000 0.5000 0.5000
0.5000 0.0000 0.5000
0.0000 0.0000 0.5000
0.5000 0.5000 0.5000
0.0000 0.0000 0.0000
0.1333 0.6333 0.2565
0.1333 0.6333 0.7435
0.3667 0.1333 0.2565
0.3667 0.1333 0.7435
0.5000 0.5000 0.0000
0.6333 0.8667 0.2565
0.6333 0.8667 0.7435
0.8667 0.3667 0.2565
0.8667 0.3667 0.7435
```

Top 12 peaks for 10° ≤ 2θ ≤ 80°, low angle first:
- 2θ 15.44, intensity 21
- 2θ 29.46, intensity 24
- 2θ 30.63, intensity 100
- 2θ 31.16, intensity 36
- 2θ 33.42, intensity 62
- 2θ 37.52, intensity 23
- 2θ 42.15, intensity 20
- 2θ 43.41, intensity 44
- 2θ 49.54, intensity 20
- 2θ 55.11, intensity 19
- 2θ 58.37, intensity 19
- 2θ 65.40, intensity 15

=====

Theoretical X-ray diffraction stick pattern
Compound: MnAgO2
Radiation: Cu Kα, 1.54184 Å
Structure: the PBE+U geometry in Alexandria

```
MnAgO2
1.0
3.1301 0.0000 0.0000
-1.5651 2.7108 0.0000
0.0000 0.0000 12.4567
Mn Ag O
2 2 4
direct
0.0000 0.0000 0.0000
0.0000 0.0000 0.5000
0.3333 0.6667 0.2500
0.6667 0.3333 0.7500
0.3333 0.6667 0.0807
0.3333 0.6667 0.4193
0.6667 0.3333 0.5807
0.6667 0.3333 0.9193
```

Top 12 peaks for 10° ≤ 2θ ≤ 80°, low angle first:
- 2θ 14.22, intensity 13
- 2θ 28.67, intensity 49
- 2θ 33.84, intensity 100
- 2θ 36.14, intensity 72
- 2θ 39.71, intensity 25
- 2θ 49.70, intensity 33
- 2θ 55.77, intensity 28
- 2θ 59.02, intensity 28
- 2θ 62.43, intensity 14
- 2θ 66.91, intensity 24
- 2θ 69.80, intensity 10
- 2θ 71.20, intensity 9

=====

Theoretical X-ray diffraction stick pattern
Compound: Mn7AgO12
Radiation: Cu Kα, 1.54184 Å
Structure: the PBE+U geometry in Alexandria

```
Mn7AgO12
1.0
-3.7377 3.7377 3.7377
3.7377 -3.7377 3.7377
3.7377 3.7377 -3.7377
Mn Ag O
7 1 12
direct
0.0000 0.0000 0.5000
0.0000 0.5000 0.0000
0.0000 0.5000 0.5000
0.5000 0.0000 0.0000
0.5000 0.0000 0.5000
0.5000 0.5000 0.0000
0.5000 0.5000 0.5000
0.0000 0.0000 0.0000
0.1301 0.8151 0.3150
0.1849 0.3150 0.4999
0.1849 0.6850 0.8699
0.3150 0.1301 0.8151
0.3150 0.4999 0.1849
0.4999 0.1849 0.3150
0.5001 0.8151 0.6850
0.6850 0.5001 0.8151
0.6850 0.8699 0.1849
0.8151 0.3150 0.1301
0.8151 0.6850 0.5001
0.8699 0.1849 0.6850
```

Top 12 peaks for 10° ≤ 2θ ≤ 80°, low angle first:
- 2θ 16.77, intensity 5
- 2θ 29.26, intensity 3
- 2θ 33.92, intensity 100
- 2θ 38.07, intensity 10
- 2θ 41.86, intensity 4
- 2θ 45.40, intensity 8
- 2θ 48.73, intensity 26
- 2θ 60.69, intensity 48
- 2θ 63.45, intensity 2
- 2θ 71.38, intensity 12
- 2θ 73.93, intensity 2
- 2θ 78.95, intensity 2